Calculated X-ray powder pattern
Compound: AcY14Sc
Radiation: λ = 1.5418 Å (Cu Kα)
Structure: a PBE-relaxed structure

Atomic structure:
a = 7.1599 Å, b = 7.1599 Å, c = 10.0851 Å
α = 90.00°, β = 90.00°, γ = 90.00°
Space group P4/mmm (No. 123)
Inequivalent atoms, fractional coordinates:
1 Ac 0.0000 0.0000 0.0000 x1
2 Y 0.0000 0.0000 0.5000 x1
3 Y 0.0000 0.5000 0.0000 x2
4 Y 0.0000 0.5000 0.5000 x2
5 Y 0.2543 0.2543 0.2500 x8
6 Y 0.5000 0.5000 0.5000 x1
7 Sc 0.5000 0.5000 0.0000 x1

Main lines, low angle first (2θ from 5° to 70°):
- 2θ 30.63, intensity 100.0, hkl 2 0 2
- 2θ 35.46, intensity 33.4, hkl 2 2 0
- 2θ 35.61, intensity 16.6, hkl 0 0 4
- 2θ 51.02, intensity 11.6, hkl 4 0 0
- 2θ 51.13, intensity 23.0, hkl 2 2 4
- 2θ 60.69, intensity 27.0, hkl 4 2 2
- 2θ 60.89, intensity 13.5, hkl 2 0 6
- 2θ 63.77, intensity 11.6, hkl 4 0 4